(1)
# Ba3RhAu
Calculated powder XRD pattern, Cu Kα (weighted mean of Kα1 and Kα2). Input: a crystal structure in Alexandria, relaxed with GGA-PBE.
Kinematic intensities with the Lorentz-polarization factor, no thermal factor.

Largest 10 diffraction maxima, in order of falling intensity, 2θ = 10–90°:
2theta	intensity
28.11	100
27.97	62
38.79	33
40.15	27
36.22	25
27.64	18
57.06	17
34.26	17
36.77	16
18.65	16

Structure:
```
Ba3RhAu
1.0
9.2863 0.0000 0.0000
0.0000 4.4924 0.0000
-2.1204 0.0000 9.5147
Ba Rh Au
6 2 2
Direct
0.0676 0.2500 0.3385
0.2565 0.2500 0.9781
0.3914 0.7500 0.6343
0.6086 0.2500 0.3657
0.7435 0.7500 0.0219
0.9324 0.7500 0.6615
0.1784 0.2500 0.6749
0.8216 0.7500 0.3251
0.3251 0.7500 0.2546
0.6749 0.2500 0.7454
```

***

(2)
# BaZrAu2
Calculated powder XRD pattern, Cu Kα (weighted mean of Kα1 and Kα2). Input: a crystal structure in Alexandria, relaxed with GGA-PBE.
Kinematic intensities with the Lorentz-polarization factor, no thermal factor.

Largest 10 diffraction maxima, in order of falling intensity, 2θ = 10–90°:
2theta	intensity
35.11	100
33.15	58
60.49	42
47.58	21
64.21	17
74.20	12
23.27	10
53.29	8
89.21	8
69.57	7

Structure:
```
BaZrAu2
1.0
3.8183 -3.8255 0.0000
3.8183 3.8255 0.0000
0.0000 0.0000 3.4384
Ba Zr Au
1 1 2
Direct
0.0000 0.0000 0.0000
0.5000 0.5000 0.0000
0.0000 0.5000 0.5000
0.5000 0.0000 0.5000
```

***

(3)
# CeThMgPa
Calculated powder XRD pattern, Cu Kα (weighted mean of Kα1 and Kα2). Input: a crystal structure in Alexandria, relaxed with GGA-PBE.
Kinematic intensities with the Lorentz-polarization factor, no thermal factor.

Largest 10 diffraction maxima, in order of falling intensity, 2θ = 10–90°:
2theta	intensity
33.30	100
59.51	39
20.21	28
47.81	18
79.69	17
39.26	16
69.93	12
52.41	7
63.52	6
73.64	6

Structure:
```
CeThMgPa
1.0
0.0000 3.8050 3.8050
3.8050 0.0000 3.8050
3.8050 3.8050 0.0000
Ce Th Mg Pa
1 1 1 1
Direct
0.0000 0.0000 0.0000
0.5000 0.5000 0.5000
0.2500 0.2500 0.2500
0.7500 0.7500 0.7500
```

***

(4)
# Sm2ZnRhO6
Calculated powder XRD pattern, Cu Kα (weighted mean of Kα1 and Kα2). Input: a crystal structure in Alexandria, relaxed with GGA-PBE.
Kinematic intensities with the Lorentz-polarization factor, no thermal factor.

Largest 10 diffraction maxima, in order of falling intensity, 2θ = 10–90°:
2theta	intensity
32.24	100
58.46	33
33.01	25
25.19	19
30.71	19
45.70	17
51.36	16
46.78	14
32.85	13
47.26	12

Structure:
```
Sm2ZnRhO6
1.0
5.4274 0.0000 0.0000
0.0000 5.8232 0.0000
-5.4209 0.0000 7.7678
Sm Zn Rh O
4 2 2 12
Direct
0.2289 0.0748 0.2508
0.2289 0.4252 0.7508
0.7711 0.5748 0.2492
0.7711 0.9252 0.7492
0.5000 0.0000 0.0000
0.5000 0.5000 0.5000
0.0000 0.0000 0.5000
0.0000 0.5000 0.0000
0.1236 0.2017 0.9420
0.1236 0.2983 0.4420
0.2514 0.6904 0.9447
0.2514 0.8096 0.4447
0.3594 0.0378 0.7467
0.3594 0.4622 0.2467
0.6406 0.5378 0.7533
0.6406 0.9622 0.2533
0.7486 0.1904 0.5553
0.7486 0.3096 0.0553
0.8764 0.7017 0.5580
0.8764 0.7983 0.0580
```

***

(5)
# Y2ZnRu2
Calculated powder XRD pattern, Cu Kα (weighted mean of Kα1 and Kα2). Input: a crystal structure in Alexandria, relaxed with GGA-PBE.
Kinematic intensities with the Lorentz-polarization factor, no thermal factor.

Largest 10 diffraction maxima, in order of falling intensity, 2θ = 10–90°:
2theta	intensity
37.50	100
41.52	87
38.40	73
34.77	64
36.02	54
33.91	54
37.83	50
39.71	49
38.83	38
67.86	33

Structure:
```
Y2ZnRu2
1.0
4.8091 -2.7376 0.0000
4.8091 2.7376 0.0000
-2.1120 0.0000 7.7203
Y Zn Ru
4 2 4
Direct
0.0007 0.7037 0.8516
0.2963 0.9993 0.6484
0.7037 0.0007 0.3516
0.9993 0.2963 0.1484
0.3578 0.6422 0.2500
0.6422 0.3578 0.7500
0.2186 0.5079 0.4927
0.4921 0.7814 0.0073
0.5079 0.2186 0.9927
0.7814 0.4921 0.5073
```